(1)
# ErGaW
Theoretical powder diffractogram, Cu Kα, 1.54184 Å. Input: the GGA-PBE geometry in OQMD.
Peak positions follow from Bragg's law for the DFT cell and can differ from measured ones.

Structure:
```
ErGaW
1.0
0.000 3.174 3.174
3.174 0.000 3.174
3.174 3.174 0.000
Er Ga W
1 1 1
direct
0.000 0.000 0.000
0.250 0.250 0.250
0.500 0.500 0.500
```

Main lines, most intense first (2θ = 10–90°):
d (Å), Rel. int.
2.244, 100
3.174, 54
1.296, 34
1.419, 20
1.587, 17
1.832, 15
1.122, 11
3.665, 8
1.914, 4
1.456, 2


(2)
# YEr4Ga15
Theoretical powder diffractogram, Cu Kα, 1.54184 Å. Input: the GGA-PBE geometry in OQMD.
Peak positions follow from Bragg's law for the DFT cell and can differ from measured ones.

Structure:
```
YEr4Ga15
1.0
3.051 1.761 11.854
-3.051 1.761 11.854
0.000 -3.523 11.854
Y Er Ga
1 4 15
direct
0.000 0.000 0.000
0.130 0.130 0.130
0.400 0.400 0.400
0.600 0.600 0.600
0.870 0.870 0.870
0.000 0.500 0.500
0.118 0.118 0.564
0.118 0.564 0.118
0.133 0.635 0.635
0.365 0.365 0.867
0.365 0.867 0.365
0.436 0.882 0.882
0.500 0.000 0.500
0.500 0.500 0.000
0.564 0.118 0.118
0.635 0.133 0.635
0.635 0.635 0.133
0.867 0.365 0.365
0.882 0.436 0.882
0.882 0.882 0.436
```

Main lines, most intense first (2θ = 10–90°):
d (Å), Rel. int.
2.344, 100
2.271, 95
2.533, 90
2.371, 77
1.526, 72
1.283, 58
2.046, 47
2.477, 33
4.542, 26
2.121, 24


(3)
# YErGa2
Theoretical powder diffractogram, Cu Kα, 1.54184 Å. Input: the GGA-PBE geometry in OQMD.
Peak positions follow from Bragg's law for the DFT cell and can differ from measured ones.

Structure:
```
YErGa2
1.0
4.042 0.000 0.000
0.000 2.161 5.418
0.000 -2.161 5.418
Y Er Ga
1 1 2
direct
0.000 0.000 0.000
0.500 0.721 0.721
0.000 0.283 0.283
0.500 0.438 0.438
```

Main lines, most intense first (2θ = 10–90°):
d (Å), Rel. int.
2.848, 100
2.286, 58
2.772, 38
2.709, 26
2.161, 26
2.021, 21
2.250, 20
3.240, 17
1.633, 15
1.476, 15


(4)
# GdErGe2Pt
Theoretical powder diffractogram, Cu Kα, 1.54184 Å. Input: the GGA-PBE geometry in OQMD.
Peak positions follow from Bragg's law for the DFT cell and can differ from measured ones.

Structure:
```
GdErGe2Pt
1.0
5.234 -2.180 0.000
5.234 2.180 0.000
-4.759 0.000 9.240
Gd Er Ge Pt
2 2 4 2
direct
0.189 0.189 0.114
0.811 0.811 0.886
0.011 0.011 0.330
0.989 0.989 0.670
0.357 0.357 0.447
0.476 0.476 0.115
0.524 0.524 0.885
0.643 0.643 0.553
0.271 0.271 0.663
0.729 0.729 0.337
```

Main lines, most intense first (2θ = 10–90°):
d (Å), Rel. int.
2.749, 100
2.235, 95
2.180, 75
2.696, 72
2.678, 67
2.454, 51
2.614, 39
1.673, 34
2.310, 30
1.414, 28


(5)
# Gd2ErHg
Theoretical powder diffractogram, Cu Kα, 1.54184 Å. Input: the GGA-PBE geometry in OQMD.
Peak positions follow from Bragg's law for the DFT cell and can differ from measured ones.

Structure:
```
Gd2ErHg
1.0
5.110 0.000 0.000
0.000 5.333 4.162
0.000 -5.333 4.162
Gd Er Hg
4 2 2
direct
0.250 0.111 0.889
0.250 0.181 0.409
0.750 0.409 0.181
0.750 0.889 0.111
0.250 0.597 0.823
0.750 0.823 0.597
0.250 0.681 0.329
0.750 0.329 0.681
```

Main lines, most intense first (2θ = 10–90°):
d (Å), Rel. int.
2.760, 100
2.555, 23
1.511, 16
2.666, 15
1.845, 10
2.377, 9
3.274, 9
1.438, 8
1.410, 8
1.691, 7


(6)
# Gd2Er3Hg3
Theoretical powder diffractogram, Cu Kα, 1.54184 Å. Input: the GGA-PBE geometry in OQMD.
Peak positions follow from Bragg's law for the DFT cell and can differ from measured ones.

Structure:
```
Gd2Er3Hg3
1.0
6.953 0.000 0.000
-3.476 6.021 0.000
0.000 0.000 5.174
Gd Er Hg
2 3 3
direct
0.000 0.000 0.000
0.333 0.667 0.500
0.503 0.007 0.000
0.503 0.497 0.000
0.993 0.497 0.000
0.341 0.171 0.500
0.829 0.171 0.500
0.829 0.659 0.500
```

Main lines, most intense first (2θ = 10–90°):
d (Å), Rel. int.
2.602, 100
3.011, 25
2.587, 22
1.443, 22
1.738, 20
1.497, 19
1.445, 16
1.962, 15
1.111, 15
1.134, 8


(7)
# Gd5Er2Hg
Theoretical powder diffractogram, Cu Kα, 1.54184 Å. Input: the GGA-PBE geometry in OQMD.
Peak positions follow from Bragg's law for the DFT cell and can differ from measured ones.

Structure:
```
Gd5Er2Hg
1.0
5.564 0.000 0.000
0.000 3.531 6.112
0.000 -3.531 6.112
Gd Er Hg
5 2 1
direct
0.000 0.000 0.000
0.000 0.009 0.498
0.000 0.498 0.009
0.500 0.326 0.838
0.500 0.838 0.326
0.000 0.499 0.499
0.500 0.839 0.839
0.500 0.337 0.337
```

Main lines, most intense first (2θ = 10–90°):
d (Å), Rel. int.
2.679, 100
2.782, 25
3.057, 24
1.490, 22
1.586, 21
1.765, 19
1.474, 16
2.058, 16
1.131, 14
1.092, 9


(8)
# Gd2ErMg4Hg2
Theoretical powder diffractogram, Cu Kα, 1.54184 Å. Input: the GGA-PBE geometry in OQMD.
Peak positions follow from Bragg's law for the DFT cell and can differ from measured ones.

Structure:
```
Gd2ErMg4Hg2
1.0
4.675 0.000 0.000
0.000 6.433 3.754
0.000 -6.433 3.754
Gd Er Mg Hg
2 1 4 2
direct
0.000 0.215 0.785
0.000 0.785 0.215
0.000 0.353 0.353
0.000 0.780 0.780
0.500 0.028 0.028
0.500 0.538 0.784
0.500 0.784 0.538
0.500 0.120 0.450
0.500 0.450 0.120
```

Main lines, most intense first (2θ = 10–90°):
d (Å), Rel. int.
2.913, 100
2.664, 74
6.484, 68
2.927, 47
2.650, 39
2.337, 34
6.433, 26
2.162, 22
3.724, 20
1.438, 18


Question: What is the formula in the third record?
Answer: YErGa2